Structure and calculated XRD peak list of KMnPO3F3 (DFT lattice parameters and positions (GGA+U); Cu Kα (λ = 1.5418 Å)).
Kinematic intensities with the Lorentz-polarization factor, no thermal factor.

Cell and atoms:
```
data_KMnPO3F3
_cell_length_a 5.5179
_cell_length_b 12.8740
_cell_length_c 7.8798
_cell_angle_alpha 90.00
_cell_angle_beta 114.24
_cell_angle_gamma 90.00
_symmetry_space_group_name_H-M 'P 1 21/c 1'
_symmetry_Int_Tables_number 14
_symmetry_space_group_name_Hall '-P 2ybc'
loop_
_atom_site_label
_atom_site_fract_x
_atom_site_fract_y
_atom_site_fract_z
K1 0.1467 0.2005 0.1889
Mn1 0.0000 0.0000 0.5000
Mn2 0.5000 0.0000 0.0000
P1 0.3738 0.6068 0.8146
O1 0.1872 0.6023 0.9139
O2 0.3035 0.5276 0.6557
O3 0.3334 0.1148 0.5565
F1 0.1655 0.5553 0.2429
F2 0.2936 0.7174 0.7116
F3 0.3662 0.1347 0.9621
```

The 10 most intense peaks (10 to 80 degrees two-theta), in order of rising 2θ:
2theta	d (Å)	I/Imax	index
13.8	6.437	60	0 2 0
18.2	4.868	24	1 1 -1
26.4	3.378	75	1 1 1
26.8	3.325	100	1 3 -1
28.5	3.137	45	0 2 2
29.0	3.076	41	1 2 1
31.7	2.819	24	1 3 -2
34.1	2.629	29	2 0 -2
35.0	2.567	25	1 1 -3
52.7	1.737	28	1 7 -1